No. 1
Theoretical PXRD pattern
Compound: Li4Ti3Cr3Fe2O16
Radiation: Cu Kα (weighted mean of Kα1 and Kα2)
Structure: a crystal structure in the Materials Project, relaxed with PBE+U
Intensities are scaled so that the largest is 100.

Top 8 peaks for 2θ from 10° to 90°, sorted by position:
2θ (°)  d [Å]  intensity
18.49  4.799  80
19.60  4.528  100
19.69  4.510  52
35.66  2.517  42
36.22  2.480  33
36.33  2.473  32
45.20  2.006  29
62.85  1.479  40

Structural model:
Unit cell a=5.9124 b=5.9163 c=9.5989 alpha=89.97 beta=89.65 gamma=60.17
Element x y z (fractional)
Li 0.0000 0.0000 0.0000
Li 0.0014 0.0052 0.4975
Li 0.3348 0.3363 0.5991
Li 0.6644 0.6751 0.1022
Ti 0.1683 0.1844 0.2751
Ti 0.3415 0.8361 0.7793
Ti 0.8345 0.3434 0.7801
Cr 0.1740 0.6701 0.2850
Cr 0.6622 0.1735 0.2811
Cr 0.8318 0.8336 0.7818
Fe 0.3389 0.3419 0.0042
Fe 0.6746 0.6640 0.5034
O 0.0044 0.0045 0.6842
O 0.0069 0.0044 0.1855
O 0.0368 0.4910 0.1601
O 0.1655 0.1698 0.8922
O 0.1710 0.6786 0.8938
O 0.3286 0.3363 0.3913
O 0.3295 0.8337 0.3913
O 0.4712 0.4942 0.1618
O 0.4756 0.0451 0.1546
O 0.5162 0.9630 0.6555
O 0.5207 0.5208 0.6604
O 0.6627 0.6663 0.8916
O 0.6770 0.1738 0.8947
O 0.8442 0.3301 0.3950
O 0.8511 0.8302 0.3904
O 0.9635 0.5159 0.6568

---

No. 2
Theoretical PXRD pattern
Compound: CoF3
Radiation: Cu Kα (weighted mean of Kα1 and Kα2)
Structure: a crystal structure in the Materials Project, relaxed with PBE+U
Intensities are scaled so that the largest is 100.

Top 8 peaks for 2θ from 10° to 90°, sorted by position:
2θ (°)  d [Å]  intensity
22.96  3.874  100
23.14  3.844  98
23.26  3.824  97
32.91  2.722  31
46.91  1.937  28
47.29  1.922  27
47.56  1.912  26
53.34  1.717  34

Structural model:
Unit cell a=3.8739 b=7.6482 c=8.5831 alpha=116.39 beta=90.17 gamma=90.14
Element x y z (fractional)
Co 0.0004 0.1249 0.2499
Co 0.9996 0.8751 0.7501
Co 0.0012 0.6253 0.2505
Co 0.9988 0.3747 0.7495
F 0.0000 0.0000 0.0000
F 0.0000 0.5000 0.0000
F 0.0008 0.6302 0.7476
F 0.0013 0.8826 0.2525
F 0.0019 0.2552 0.5104
F 0.5003 0.1300 0.2604
F 0.4998 0.3786 0.7576
F 0.5002 0.6214 0.2424
F 0.4997 0.8700 0.7396
F 0.9981 0.7448 0.4896
F 0.9987 0.1174 0.7475
F 0.9992 0.3698 0.2524

---

No. 3
Theoretical PXRD pattern
Compound: Co3C10ClO9
Radiation: Cu Kα (weighted mean of Kα1 and Kα2)
Structure: a crystal structure in the Materials Project, relaxed with PBE+U
Intensities are scaled so that the largest is 100.

Top 8 peaks for 2θ from 10° to 90°, sorted by position:
2θ (°)  d [Å]  intensity
12.61  7.019  97
12.73  6.956  88
12.83  6.899  100
13.06  6.780  65
14.23  6.222  95
14.48  6.116  64
28.85  3.094  47
29.53  3.025  48

Structural model:
Unit cell a=8.1426 b=8.9946 c=12.5499 alpha=86.77 beta=82.60 gamma=67.99
Element x y z (fractional)
Co 0.0662 0.2309 0.1801
Co 0.1672 0.4145 0.2693
Co 0.3609 0.1274 0.2486
Co 0.6391 0.8726 0.7514
Co 0.8328 0.5855 0.7307
Co 0.9338 0.7691 0.8199
C 0.0361 0.0482 0.1746
C 0.0415 0.4329 0.6947
C 0.1296 0.2279 0.3200
C 0.1356 0.2672 0.0420
C 0.1626 0.6510 0.8011
C 0.2529 0.4981 0.1506
C 0.2735 0.4559 0.3711
C 0.3828 0.9250 0.2598
C 0.4991 0.1361 0.1258
C 0.4996 0.1166 0.3477
C 0.5004 0.8834 0.6523
C 0.5009 0.8639 0.8742
C 0.6172 0.0750 0.7402
C 0.7265 0.5441 0.6289
C 0.7471 0.5019 0.8494
C 0.8374 0.3490 0.1989
C 0.8644 0.7328 0.9580
C 0.8704 0.7721 0.6800
C 0.9585 0.5671 0.3053
C 0.9639 0.9518 0.8254
Cl 0.0332 0.1834 0.4406
Cl 0.9668 0.8166 0.5594
O 0.0085 0.9314 0.1707
O 0.1756 0.3298 0.6691
O 0.1771 0.2897 0.9527
O 0.3030 0.5556 0.0751
O 0.3149 0.5795 0.7881
O 0.3384 0.4874 0.4389
O 0.3976 0.7921 0.2702
O 0.4061 0.8959 0.5879
O 0.4081 0.8628 0.9520
O 0.5919 0.1372 0.0480
O 0.5939 0.1041 0.4121
O 0.6024 0.2079 0.7298
O 0.6616 0.5126 0.5611
O 0.6851 0.4205 0.2119
O 0.6970 0.4444 0.9249
O 0.8229 0.7103 0.0473
O 0.8244 0.6702 0.3309
O 0.9915 0.0686 0.8293

---

No. 4
Theoretical PXRD pattern
Compound: LiMn2O4
Radiation: Cu Kα (weighted mean of Kα1 and Kα2)
Structure: a crystal structure in the Materials Project, relaxed with PBE+U
Intensities are scaled so that the largest is 100.

Top 8 peaks for 2θ from 10° to 90°, sorted by position:
2θ (°)  d [Å]  intensity
17.69  5.014  100
35.36  2.539  23
42.46  2.129  38
43.30  2.089  17
46.60  1.949  9
55.57  1.654  10
61.21  1.514  9
63.29  1.469  10

Structural model:
Unit cell a=5.0623 b=2.9882 c=5.2737 alpha=90.00 beta=108.05 gamma=90.00
Element x y z (fractional)
Li 0.0000 0.0000 0.0000
Mn 0.0000 0.5000 0.5000
Mn 0.5000 0.0000 0.5000
O 0.2269 0.0000 0.6918
O 0.2343 0.5000 0.2783
O 0.7657 0.5000 0.7217
O 0.7731 0.0000 0.3082

---

No. 5
Theoretical PXRD pattern
Compound: La2MgZnCoO6
Radiation: Cu Kα (weighted mean of Kα1 and Kα2)
Structure: a crystal structure in the Materials Project, relaxed with PBE+U
Intensities are scaled so that the largest is 100.

Top 8 peaks for 2θ from 10° to 90°, sorted by position:
2θ (°)  d [Å]  intensity
25.43  3.503  22
30.93  2.891  100
31.56  2.835  55
32.68  2.740  21
33.35  2.686  38
38.92  2.314  32
41.29  2.187  27
50.54  1.806  32

Structural model:
Unit cell a=5.5048 b=5.8013 c=5.8348 alpha=62.44 beta=79.12 gamma=62.77
Element x y z (fractional)
La 0.0000 0.0000 0.0000
La 0.2840 0.5555 0.6528
Mg 0.4351 0.1842 0.2849
Zn 0.8224 0.3802 0.3652
Co 0.6485 0.7827 0.8195
O 0.0024 0.5405 0.0392
O 0.2945 0.9856 0.6238
O 0.4148 0.5604 0.2396
O 0.5193 0.0821 0.9836
O 0.7790 0.4670 0.6674
O 0.8452 0.9976 0.4206

---

No. 6
Theoretical PXRD pattern
Compound: Sr3Co2O6
Radiation: Cu Kα (weighted mean of Kα1 and Kα2)
Structure: a crystal structure in the Materials Project, relaxed with PBE+U
Intensities are scaled so that the largest is 100.

Top 8 peaks for 2θ from 10° to 90°, sorted by position:
2θ (°)  d [Å]  intensity
31.23  2.864  85
32.30  2.772  100
40.03  2.253  44
44.46  2.038  19
45.54  1.992  47
56.93  1.617  13
59.50  1.554  29
61.84  1.500  14

Structural model:
Unit cell a=6.5927 b=6.5927 c=6.5927 alpha=93.46 beta=93.46 gamma=93.46
Element x y z (fractional)
Sr 0.1194 0.7500 0.3806
Sr 0.2500 0.6194 0.8806
Sr 0.3806 0.1194 0.7500
Sr 0.6194 0.8806 0.2500
Sr 0.7500 0.3806 0.1194
Sr 0.8806 0.2500 0.6194
Co 0.0000 0.0000 0.0000
Co 0.2500 0.2500 0.2500
Co 0.5000 0.5000 0.5000
Co 0.7500 0.7500 0.7500
O 0.0296 0.9045 0.7172
O 0.0955 0.2828 0.9704
O 0.2172 0.4045 0.5296
O 0.2828 0.9704 0.0955
O 0.4045 0.5296 0.2172
O 0.4704 0.7828 0.5955
O 0.5296 0.2172 0.4045
O 0.5955 0.4704 0.7828
O 0.7172 0.0296 0.9045
O 0.7828 0.5955 0.4704
O 0.9045 0.7172 0.0296
O 0.9704 0.0955 0.2828

---

No. 7
Theoretical PXRD pattern
Compound: Li2VC2O6
Radiation: Cu Kα (weighted mean of Kα1 and Kα2)
Structure: a crystal structure in the Materials Project, relaxed with PBE+U
Intensities are scaled so that the largest is 100.

Top 8 peaks for 2θ from 10° to 90°, sorted by position:
2θ (°)  d [Å]  intensity
18.41  4.819  14
19.07  4.655  100
28.69  3.111  27
30.21  2.958  17
32.12  2.787  20
43.12  2.098  8
43.29  2.090  8
47.38  1.919  8

Structural model:
Unit cell a=5.3159 b=6.4837 c=8.7110 alpha=83.03 beta=72.52 gamma=65.84
Element x y z (fractional)
Li 0.0000 0.0000 0.0000
Li 0.0804 0.4964 0.8375
Li 0.2821 0.0964 0.3334
Li 0.6989 0.6021 0.4972
V 0.3504 0.5499 0.1678
V 0.5987 0.0487 0.6676
C 0.3209 0.4468 0.4700
C 0.4780 0.1502 0.9691
C 0.5241 0.6509 0.8657
C 0.8805 0.9485 0.3662
O 0.0402 0.8996 0.2199
O 0.1199 0.4475 0.4119
O 0.2655 0.6518 0.9215
O 0.2713 0.1524 0.9158
O 0.3263 0.3927 0.6168
O 0.4402 0.2008 0.1156
O 0.5221 0.4995 0.3699
O 0.6244 0.9444 0.4177
O 0.6253 0.7026 0.7189
O 0.6755 0.5990 0.9678
O 0.7286 0.0974 0.8657
O 0.9736 0.0015 0.4710